La5Tb6Th2: computed powder diffraction line list (λ = 1.5418 Å (Cu Kα)), based on a structure optimized by DFT (GGA-PBE).

Structure:
a b c (Å): 11.672 21.246 3.627
angles (deg): 90.00 90.00 90.00
Space group Pbam (No. 55)
Asymmetric unit:
La1 0.000 0.000 0.000 (multiplicity 2)
La2 0.060 0.296 0.000 (multiplicity 4)
La3 0.191 0.581 0.000 (multiplicity 4)
Tb1 0.061 0.150 0.500 (multiplicity 4)
Tb2 0.084 0.439 0.500 (multiplicity 4)
Tb3 0.187 0.876 0.000 (multiplicity 4)
Th1 0.193 0.736 0.500 (multiplicity 4)

Main lines, in order of rising 2θ (2θ = 5–70°):
h k l	2θ/deg	I_rel
0 2 0	8.32	28
1 3 1	28.69	39
2 6 0	29.51	29
1 7 0	30.43	64
1 4 1	30.82	42
4 1 0	30.93	92
2 3 1	31.67	100
2 4 1	33.63	78
0 0 2	50.34	48
4 1 2	60.24	28

=====

La10Tb4Th: computed powder diffraction line list (λ = 1.5418 Å (Cu Kα)), based on a structure optimized by DFT (GGA-PBE).

Structure:
a b c (Å): 11.442 11.442 8.192
angles (deg): 90.00 90.00 90.00
Space group I4/mmm (No. 139)
Asymmetric unit:
La1 0.000 0.215 0.206 (multiplicity 16)
La2 0.000 0.500 0.250 (multiplicity 4)
Tb1 0.223 0.223 0.500 (multiplicity 8)
Th1 0.000 0.000 0.500 (multiplicity 2)

Main lines, in order of rising 2θ (2θ = 5–70°):
h k l	2θ/deg	I_rel
2 0 2	26.77	38
3 2 1	30.20	64
2 2 2	31.07	100
4 0 0	31.27	96
3 1 2	33.03	37
1 0 3	33.75	30
3 3 2	40.03	40
4 4 0	44.81	25
5 0 3	52.15	27
7 3 2	66.26	29